Record 1
# LiSeF5
Computed powder XRD pattern, λ = 1.5418 Å (Cu Kα). Input: a crystal structure in Alexandria, relaxed with PBE.

```
data_LiSeF5
_chemical_formula_sum 'Li4 Se4 F20'
_cell_length_a 8.577
_cell_length_b 6.862
_cell_length_c 8.045
_cell_angle_alpha 90.00
_cell_angle_beta 113.60
_cell_angle_gamma 90.00
_space_group_name_H-M_alt 'C 1 c 1'
_space_group_IT_number 9
_space_group_name_Hall 'C -2yc'
loop_
_atom_site_label
_atom_site_type_symbol
_atom_site_fract_x
_atom_site_fract_y
_atom_site_fract_z
_atom_site_occupancy
Li1 Li 0.000 0.153 0.000 1
Se1 Se 0.271 0.233 0.768 1
F1 F 0.102 0.325 0.577 1
F2 F 0.131 0.290 0.894 1
F3 F 0.163 0.013 0.199 1
F4 F 0.350 0.494 0.806 1
F5 F 0.381 0.191 0.607 1
```

Most intense lines, 10 to 90 degrees two-theta, sorted by position:
two_theta	I (rel.)
18.18	100
22.63	26
23.48	88
24.15	23
25.68	29
25.97	19
41.17	22
44.34	11
48.02	13
52.76	11

=====

Record 2
# YPd5Pt2
Computed powder XRD pattern, λ = 1.5418 Å (Cu Kα). Input: a crystal structure in Alexandria, relaxed with PBE.

```
data_YPd5Pt2
_chemical_formula_sum 'Y2 Pd10 Pt4'
_cell_length_a 5.702
_cell_length_b 11.431
_cell_length_c 4.065
_cell_angle_alpha 90.00
_cell_angle_beta 90.00
_cell_angle_gamma 90.00
_space_group_name_H-M_alt 'P b a m'
_space_group_IT_number 55
_space_group_name_Hall '-P 2 2ab'
loop_
_atom_site_label
_atom_site_type_symbol
_atom_site_fract_x
_atom_site_fract_y
_atom_site_fract_z
_atom_site_occupancy
Y1 Y 0.000 0.000 0.000 1
Pd1 Pd 0.000 0.500 0.000 1
Pd2 Pd 0.013 0.251 0.000 1
Pd3 Pd 0.249 0.873 0.500 1
Pt1 Pt 0.237 0.629 0.500 1
```

Most intense lines, 10 to 90 degrees two-theta, sorted by position:
two_theta	I (rel.)
22.02	5
31.25	6
38.54	100
44.59	17
44.91	32
65.14	21
78.08	13
78.49	12
78.60	12
82.53	5

=====

Record 3
# PmDy2Tc9
Computed powder XRD pattern, λ = 1.5418 Å (Cu Kα). Input: a crystal structure in Alexandria, relaxed with PBE.

```
data_PmDy2Tc9
_chemical_formula_sum 'Pm3 Dy6 Tc27'
_cell_length_a 5.3851
_cell_length_b 5.3851
_cell_length_c 26.1337
_cell_angle_alpha 90.00
_cell_angle_beta 90.00
_cell_angle_gamma 120.00
_space_group_name_H-M_alt 'R -3 m'
_space_group_IT_number 166
_space_group_name_Hall '-R 3 2"'
loop_
_atom_site_label
_atom_site_type_symbol
_atom_site_fract_x
_atom_site_fract_y
_atom_site_fract_z
_atom_site_occupancy
Pm1 Pm 0.0000 0.0000 0.0000 1
Dy1 Dy 0.0000 0.0000 0.1435 1
Tc1 Tc 0.0000 0.0000 0.3388 1
Tc2 Tc 0.0000 0.0000 0.5000 1
Tc3 Tc 0.0108 0.5054 0.9164 1
```

Most intense lines, 10 to 90 degrees two-theta, sorted by position:
two_theta	I (rel.)
30.68	18
33.27	32
33.49	26
38.77	28
39.33	100
41.46	17
42.45	19
63.56	27
69.87	21
84.63	12

=====

Record 4
# V5Tc2Mo2
Computed powder XRD pattern, λ = 1.5418 Å (Cu Kα). Input: a crystal structure in Alexandria, relaxed with PBE.

```
data_V5Tc2Mo2
_chemical_formula_sum 'V20 Tc8 Mo8'
_cell_length_a 12.188
_cell_length_b 6.995
_cell_length_c 6.319
_cell_angle_alpha 90.00
_cell_angle_beta 90.00
_cell_angle_gamma 90.00
_space_group_name_H-M_alt 'I m a 2'
_space_group_IT_number 46
_space_group_name_Hall 'I 2 -2a'
loop_
_atom_site_label
_atom_site_type_symbol
_atom_site_fract_x
_atom_site_fract_y
_atom_site_fract_z
_atom_site_occupancy
V1 V 0.048 0.194 0.000 1
V2 V 0.149 0.692 0.513 1
V3 V 0.250 0.194 0.004 1
Tc1 Tc 0.118 0.507 0.195 1
Mo1 Mo 0.000 0.000 0.311 1
Mo2 Mo 0.250 0.006 0.323 1
```

Most intense lines, 10 to 90 degrees two-theta, sorted by position:
two_theta	I (rel.)
25.47	18
35.12	100
38.39	66
39.14	16
41.16	20
41.27	32
44.94	37
49.03	20
51.42	34
72.62	18

=====

Record 5
# LaTaO4
Computed powder XRD pattern, λ = 1.5418 Å (Cu Kα). Input: a crystal structure in Alexandria, relaxed with PBE.

```
data_LaTaO4
_chemical_formula_sum 'La8 Ta8 O32'
_cell_length_a 7.624
_cell_length_b 7.942
_cell_length_c 11.236
_cell_angle_alpha 90.00
_cell_angle_beta 90.00
_cell_angle_gamma 90.00
_space_group_name_H-M_alt 'P b c a'
_space_group_IT_number 61
_space_group_name_Hall '-P 2ac 2ab'
loop_
_atom_site_label
_atom_site_type_symbol
_atom_site_fract_x
_atom_site_fract_y
_atom_site_fract_z
_atom_site_occupancy
La1 La 0.224 0.131 0.028 1
Ta1 Ta 0.002 0.621 0.753 1
O1 O 0.016 0.127 0.228 1
O2 O 0.065 0.642 0.578 1
O3 O 0.082 0.101 0.586 1
O4 O 0.249 0.625 0.809 1
```

Most intense lines, 10 to 90 degrees two-theta, sorted by position:
two_theta	I (rel.)
23.77	52
26.52	44
28.29	100
31.86	34
32.87	33
33.55	47
43.02	17
45.70	22
52.60	33
54.61	47

=====

Record 6
# Bi3PtAu
Computed powder XRD pattern, λ = 1.5418 Å (Cu Kα). Input: a crystal structure in Alexandria, relaxed with PBE.

```
data_Bi3PtAu
_chemical_formula_sum 'Bi12 Pt4 Au4'
_cell_length_a 9.558
_cell_length_b 6.851
_cell_length_c 8.839
_cell_angle_alpha 90.00
_cell_angle_beta 117.34
_cell_angle_gamma 90.00
_space_group_name_H-M_alt 'C 1 2/m 1'
_space_group_IT_number 12
_space_group_name_Hall '-C 2y'
loop_
_atom_site_label
_atom_site_type_symbol
_atom_site_fract_x
_atom_site_fract_y
_atom_site_fract_z
_atom_site_occupancy
Bi1 Bi 0.023 0.000 0.264 1
Bi2 Bi 0.197 0.500 0.311 1
Bi3 Bi 0.219 0.500 0.893 1
Pt1 Pt 0.000 0.287 0.000 1
Au1 Au 0.000 0.302 0.500 1
```

Most intense lines, 10 to 90 degrees two-theta, sorted by position:
two_theta	I (rel.)
32.02	100
33.62	26
34.28	16
34.78	82
40.86	34
42.60	20
51.41	20
64.74	12
64.88	14
76.11	18

=====

What did the fifth record say?
# LaTaO4
Computed powder XRD pattern, λ = 1.5418 Å (Cu Kα). Input: a crystal structure in Alexandria, relaxed with PBE.

```
data_LaTaO4
_chemical_formula_sum 'La8 Ta8 O32'
_cell_length_a 7.624
_cell_length_b 7.942
_cell_length_c 11.236
_cell_angle_alpha 90.00
_cell_angle_beta 90.00
_cell_angle_gamma 90.00
_space_group_name_H-M_alt 'P b c a'
_space_group_IT_number 61
_space_group_name_Hall '-P 2ac 2ab'
loop_
_atom_site_label
_atom_site_type_symbol
_atom_site_fract_x
_atom_site_fract_y
_atom_site_fract_z
_atom_site_occupancy
La1 La 0.224 0.131 0.028 1
Ta1 Ta 0.002 0.621 0.753 1
O1 O 0.016 0.127 0.228 1
O2 O 0.065 0.642 0.578 1
O3 O 0.082 0.101 0.586 1
O4 O 0.249 0.625 0.809 1
```

Most intense lines, 10 to 90 degrees two-theta, sorted by position:
two_theta	I (rel.)
23.77	52
26.52	44
28.29	100
31.86	34
32.87	33
33.55	47
43.02	17
45.70	22
52.60	33
54.61	47